For SrCd9Ge2, a DFT-relaxed cell (PBE, Alexandria) gives the computed XRD peak list in this record (a wavelength of 1.5418 Å).

Atomic structure:
a b c (Å): 11.779 11.779 8.270
angles (deg): 90.00 90.00 90.00
Space group I4_1/amd (No. 141, origin choice 2)
Asymmetric unit:
Sr (0.000, 0.250, 0.375) x4
Cd (0.000, 0.250, 0.875) x4
Cd (0.121, 0.047, 0.671) x32
Ge (0.000, 0.000, 0.000) x8

The 10 most intense peaks (15 to 90 degrees two-theta), by angle:
| (hkl) | 2θ (°) | I_rel |
| --- | --- | --- |
| 2 0 0 | 15.04 | 16 |
| 3 2 1 | 29.40 | 19 |
| 3 1 2 | 32.35 | 99 |
| 1 0 3 | 33.38 | 30 |
| 4 2 0 | 34.04 | 62 |
| 2 1 3 | 36.80 | 39 |
| 4 0 2 | 37.50 | 16 |
| 5 0 1 | 39.79 | 100 |
| 4 2 2 | 40.61 | 27 |
| 5 5 2 | 59.86 | 31 |